Entry 1:
Structure and theoretical X-ray powder pattern of Cs2Te4AsAu2 (DFT lattice parameters and positions (GGA-PBE); Cu Ka).

Cell and atoms:
```
data_Cs2Te4AsAu2
_chemical_formula_sum 'Cs2 Te4 As1 Au2'
_space_group_name_H-M_alt 'P -1'
_space_group_IT_number 2
_cell_length_a 6.136
_cell_length_b 7.575
_cell_length_c 8.607
_cell_angle_alpha 92.06
_cell_angle_beta 104.54
_cell_angle_gamma 113.85
loop_
_space_group_symop_operation_xyz
'x,y,z'
'-x,-y,-z'
loop_
_atom_site_label
_atom_site_type_symbol
_atom_site_fract_x
_atom_site_fract_y
_atom_site_fract_z
Cs1 Cs 0.246 0.317 0.174
Te1 Te 0.026 0.647 0.385
Te2 Te 0.430 0.899 0.135
As1 As 0.500 0.000 0.500
Au1 Au 0.240 0.158 0.597
```

Most intense lines, 2θ = 10–90°, most intense first:
- (1 1 0), d = 3.552 Å, 2θ = 25.07°, I = 100.0
- (0 1 -2), d = 3.797 Å, 2θ = 23.43°, I = 81.7
- (0 0 1), d = 8.230 Å, 2θ = 10.75°, I = 79.7
- (1 0 -2), d = 3.851 Å, 2θ = 23.10°, I = 64.8
- (-1 2 1), d = 3.406 Å, 2θ = 26.16°, I = 64.5
- (2 -2 0), d = 2.764 Å, 2θ = 32.39°, I = 52.8
- (0 1 -3), d = 2.695 Å, 2θ = 33.24°, I = 37.7
- (1 2 -1), d = 2.522 Å, 2θ = 35.59°, I = 36.6
- (1 0 2), d = 2.886 Å, 2θ = 30.98°, I = 33.8
- (0 1 0), d = 6.844 Å, 2θ = 12.93°, I = 33.3



Entry 2:
Structure and theoretical X-ray powder pattern of Pa2AgAsO8 (DFT lattice parameters and positions (GGA-PBE); Cu Ka).

Cell and atoms:
```
data_Pa2AgAsO8
_chemical_formula_sum 'Pa2 Ag1 As1 O8'
_space_group_name_H-M_alt 'P -3 m 1'
_space_group_IT_number 164
_space_group_name_Hall '-P 3 2"'
_cell_length_a 5.1943
_cell_length_b 5.1943
_cell_length_c 7.0028
_cell_angle_alpha 90.00
_cell_angle_beta 90.00
_cell_angle_gamma 120.00
loop_
_atom_site_label
_atom_site_type_symbol
_atom_site_fract_x
_atom_site_fract_y
_atom_site_fract_z
Pa1 Pa 0.3333 0.6667 0.3443
Ag1 Ag 0.0000 0.0000 0.0000
As1 As 0.0000 0.0000 0.5000
O1 O 0.1689 0.3378 0.6455
O2 O 0.3333 0.6667 0.0784
```

Most intense lines, 2θ = 10–90°, most intense first:
- (0 1 1), d = 3.785 Å, 2θ = 23.51°, I = 100.0
- (1 1 0), d = 2.597 Å, 2θ = 34.53°, I = 67.4
- (1 0 2), d = 2.763 Å, 2θ = 32.40°, I = 63.3
- (0 0 1), d = 7.003 Å, 2θ = 12.64°, I = 37.3
- (2 0 1), d = 2.141 Å, 2θ = 42.20°, I = 36.5
- (0 2 2), d = 1.892 Å, 2θ = 48.08°, I = 32.6
- (2 1 2), d = 1.529 Å, 2θ = 60.54°, I = 22.9
- (1 2 1), d = 1.652 Å, 2θ = 55.63°, I = 20.7
- (1 1 3), d = 1.736 Å, 2θ = 52.73°, I = 20.6
- (0 1 4), d = 1.631 Å, 2θ = 56.40°, I = 16.2



Entry 3:
Structure and theoretical X-ray powder pattern of CrRe3Cl (DFT lattice parameters and positions (GGA-PBE); Cu Ka).

Cell and atoms:
```
data_CrRe3Cl
_chemical_formula_sum 'Cr1 Re3 Cl1'
_space_group_name_H-M_alt 'P m -3 m'
_space_group_IT_number 221
_space_group_name_Hall '-P 4 2 3'
_cell_length_a 4.303
_cell_length_b 4.303
_cell_length_c 4.303
_cell_angle_alpha 90.00
_cell_angle_beta 90.00
_cell_angle_gamma 90.00
loop_
_atom_site_label
_atom_site_type_symbol
_atom_site_fract_x
_atom_site_fract_y
_atom_site_fract_z
Cr1 Cr 0.000 0.000 0.000
Re1 Re 0.000 0.500 0.500
Cl1 Cl 0.500 0.500 0.500
```

Most intense lines, 2θ = 10–90°, most intense first:
- (1 1 1), d = 2.484 Å, 2θ = 36.15°, I = 100.0
- (2 0 0), d = 2.152 Å, 2θ = 41.99°, I = 62.4
- (2 2 0), d = 1.521 Å, 2θ = 60.89°, I = 41.4
- (3 1 1), d = 1.297 Å, 2θ = 72.91°, I = 39.4
- (1 0 0), d = 4.303 Å, 2θ = 20.64°, I = 26.2
- (2 2 2), d = 1.242 Å, 2θ = 76.72°, I = 14.1
- (2 1 0), d = 1.924 Å, 2θ = 47.23°, I = 12.0
- (1 1 0), d = 3.043 Å, 2θ = 29.35°, I = 6.7
- (3 0 0), d = 1.434 Å, 2θ = 65.02°, I = 5.9
- (2 1 1), d = 1.757 Å, 2θ = 52.06°, I = 3.4



Entry 4:
Structure and theoretical X-ray powder pattern of Tb4HoSe7 (DFT lattice parameters and positions (GGA-PBE); Cu Ka).

Cell and atoms:
```
data_Tb4HoSe7
_chemical_formula_sum 'Tb8 Ho2 Se14'
_space_group_name_H-M_alt 'C 1 m 1'
_space_group_IT_number 8
_cell_length_a 13.425
_cell_length_b 3.981
_cell_length_c 12.222
_cell_angle_alpha 90.00
_cell_angle_beta 104.49
_cell_angle_gamma 90.00
loop_
_space_group_symop_operation_xyz
'x,y,z'
'x,-y,z'
'x+1/2,y+1/2,z'
'x+1/2,-y+1/2,z'
loop_
_atom_site_label
_atom_site_type_symbol
_atom_site_fract_x
_atom_site_fract_y
_atom_site_fract_z
Tb1 Tb 0.000 0.000 0.000
Tb2 Tb 0.088 0.500 0.389
Tb3 Tb 0.187 0.000 0.766
Tb4 Tb 0.387 0.500 0.577
Ho1 Ho 0.275 0.500 0.155
Se1 Se 0.047 0.500 0.628
Se2 Se 0.129 0.500 0.930
Se3 Se 0.148 0.000 0.225
Se4 Se 0.227 0.000 0.527
Se5 Se 0.348 0.500 0.793
Se6 Se 0.386 0.000 0.078
Se7 Se 0.427 0.500 0.360
```

Most intense lines, 2θ = 10–90°, most intense first:
- (3 1 -2), d = 2.824 Å, 2θ = 31.69°, I = 100.0
- (2 0 2), d = 3.914 Å, 2θ = 22.72°, I = 90.3
- (3 1 -1), d = 2.965 Å, 2θ = 30.14°, I = 78.0
- (3 1 1), d = 2.739 Å, 2θ = 32.69°, I = 74.3
- (2 0 -3), d = 3.823 Å, 2θ = 23.27°, I = 71.4
- (0 2 0), d = 1.991 Å, 2θ = 45.57°, I = 59.4
- (1 1 4), d = 2.257 Å, 2θ = 39.94°, I = 53.1
- (1 1 -4), d = 2.424 Å, 2θ = 37.09°, I = 50.2
- (6 0 -4), d = 2.003 Å, 2θ = 45.27°, I = 44.0
- (3 1 0), d = 2.931 Å, 2θ = 30.49°, I = 43.1



Entry 5:
Structure and theoretical X-ray powder pattern of OsPt4Rh6 (DFT lattice parameters and positions (GGA-PBE); Cu Ka).

Cell and atoms:
```
data_OsPt4Rh6
_chemical_formula_sum 'Os4 Pt16 Rh24'
_space_group_name_H-M_alt 'C m c m'
_space_group_IT_number 63
_space_group_name_Hall '-C 2c 2'
_cell_length_a 4.613
_cell_length_b 7.246
_cell_length_c 20.185
_cell_angle_alpha 90.00
_cell_angle_beta 90.00
_cell_angle_gamma 90.00
loop_
_atom_site_label
_atom_site_type_symbol
_atom_site_fract_x
_atom_site_fract_y
_atom_site_fract_z
Os1 Os 0.000 0.250 0.250
Pt1 Pt 0.000 0.072 0.625
Pt2 Pt 0.000 0.364 0.545
Rh1 Rh 0.000 0.000 0.000
Rh2 Rh 0.000 0.098 0.750
Rh3 Rh 0.000 0.279 0.103
Rh4 Rh 0.000 0.422 0.685
```

Most intense lines, 2θ = 10–90°, most intense first:
- (1 3 1), d = 2.128 Å, 2θ = 42.48°, I = 100.0
- (2 0 0), d = 2.306 Å, 2θ = 39.05°, I = 95.6
- (1 1 8), d = 2.117 Å, 2θ = 42.71°, I = 87.8
- (0 2 7), d = 2.256 Å, 2θ = 39.96°, I = 58.1
- (1 1 7), d = 2.317 Å, 2θ = 38.87°, I = 50.9
- (2 2 7), d = 1.613 Å, 2θ = 57.11°, I = 41.0
- (1 1 3), d = 3.368 Å, 2θ = 26.47°, I = 26.8
- (1 3 2), d = 2.093 Å, 2θ = 43.22°, I = 23.0
- (0 2 6), d = 2.465 Å, 2θ = 36.45°, I = 23.0
- (0 2 5), d = 2.696 Å, 2θ = 33.23°, I = 20.2



Entry 6:
Structure and theoretical X-ray powder pattern of Li6InHg12 (DFT lattice parameters and positions (GGA-PBE); Cu Ka).

Cell and atoms:
```
data_Li6InHg12
_chemical_formula_sum 'Li18 In3 Hg36'
_space_group_name_H-M_alt 'R -3'
_space_group_IT_number 148
_space_group_name_Hall '-R 3'
_cell_length_a 10.7080
_cell_length_b 10.7080
_cell_length_c 12.5499
_cell_angle_alpha 90.00
_cell_angle_beta 90.00
_cell_angle_gamma 120.00
loop_
_atom_site_label
_atom_site_type_symbol
_atom_site_fract_x
_atom_site_fract_y
_atom_site_fract_z
Li1 Li 0.0162 0.4252 0.2070
In1 In 0.0000 0.0000 0.5000
Hg1 Hg 0.0230 0.1984 0.3261
Hg2 Hg 0.0463 0.8453 0.9039
```

Most intense lines, 2θ = 10–90°, most intense first:
- (2 1 1), d = 3.376 Å, 2θ = 26.40°, I = 100.0
- (3 -1 4), d = 2.338 Å, 2θ = 38.51°, I = 71.7
- (1 3 1), d = 2.520 Å, 2θ = 35.63°, I = 64.2
- (0 1 5), d = 2.423 Å, 2θ = 37.11°, I = 40.1
- (2 0 2), d = 3.729 Å, 2θ = 23.86°, I = 27.6
- (0 3 3), d = 2.486 Å, 2θ = 36.13°, I = 27.1
- (2 2 3), d = 2.255 Å, 2θ = 39.98°, I = 25.0
- (3 1 2), d = 2.380 Å, 2θ = 37.80°, I = 23.2
- (3 0 0), d = 3.091 Å, 2θ = 28.88°, I = 19.5
- (4 1 0), d = 2.024 Å, 2θ = 44.79°, I = 19.3



Entry 7:
Structure and theoretical X-ray powder pattern of Tl2As2Pb (DFT lattice parameters and positions (GGA-PBE); Cu Ka).

Cell and atoms:
```
data_Tl2As2Pb
_chemical_formula_sum 'Tl2 As2 Pb1'
_space_group_name_H-M_alt 'P -1'
_space_group_IT_number 2
_cell_length_a 4.896
_cell_length_b 5.939
_cell_length_c 6.113
_cell_angle_alpha 114.43
_cell_angle_beta 113.30
_cell_angle_gamma 90.22
loop_
_space_group_symop_operation_xyz
'x,y,z'
'-x,-y,-z'
loop_
_atom_site_label
_atom_site_type_symbol
_atom_site_fract_x
_atom_site_fract_y
_atom_site_fract_z
Tl1 Tl 0.215 0.188 0.435
As1 As 0.461 0.774 0.918
Pb1 Pb 0.000 0.500 0.000
```

Most intense lines, 2θ = 10–90°, most intense first:
- (-1 1 1), d = 3.095 Å, 2θ = 28.84°, I = 100.0
- (1 -1 1), d = 2.944 Å, 2θ = 30.36°, I = 83.9
- (1 1 -2), d = 2.929 Å, 2θ = 30.52°, I = 83.9
- (0 0 2), d = 2.503 Å, 2θ = 35.88°, I = 64.6
- (2 0 -1), d = 2.448 Å, 2θ = 36.71°, I = 57.2
- (0 1 1), d = 3.021 Å, 2θ = 29.57°, I = 52.4
- (0 2 -1), d = 2.958 Å, 2θ = 30.21°, I = 36.6
- (1 2 -1), d = 2.496 Å, 2θ = 35.99°, I = 32.5
- (1 2 1), d = 1.630 Å, 2θ = 56.44°, I = 31.5
- (2 1 0), d = 1.904 Å, 2θ = 47.78°, I = 26.1



Entry 8:
Structure and theoretical X-ray powder pattern of Na2Zn2HgI6 (DFT lattice parameters and positions (GGA-PBE); Cu Ka).

Cell and atoms:
```
data_Na2Zn2HgI6
_chemical_formula_sum 'Na2 Zn2 Hg1 I6'
_space_group_name_H-M_alt 'P -1'
_space_group_IT_number 2
_cell_length_a 7.858
_cell_length_b 8.461
_cell_length_c 8.520
_cell_angle_alpha 119.29
_cell_angle_beta 95.00
_cell_angle_gamma 92.18
loop_
_space_group_symop_operation_xyz
'x,y,z'
'-x,-y,-z'
loop_
_atom_site_label
_atom_site_type_symbol
_atom_site_fract_x
_atom_site_fract_y
_atom_site_fract_z
Na1 Na 0.246 0.471 0.122
Zn1 Zn 0.408 0.876 0.099
Hg1 Hg 0.000 0.500 0.500
I1 I 0.088 0.808 0.120
I2 I 0.397 0.259 0.741
I3 I 0.497 0.766 0.762
```

Most intense lines, 2θ = 10–90°, most intense first:
- (1 0 -2), d = 3.502 Å, 2θ = 25.44°, I = 100.0
- (0 1 1), d = 4.252 Å, 2θ = 20.89°, I = 92.3
- (1 -2 1), d = 3.776 Å, 2θ = 23.56°, I = 67.2
- (2 0 0), d = 3.897 Å, 2θ = 22.82°, I = 66.1
- (1 -1 2), d = 3.599 Å, 2θ = 24.74°, I = 49.8
- (1 2 0), d = 3.210 Å, 2θ = 27.79°, I = 47.3
- (0 2 -1), d = 4.228 Å, 2θ = 21.01°, I = 38.0
- (2 2 -1), d = 2.813 Å, 2θ = 31.81°, I = 36.3
- (1 -2 4), d = 2.004 Å, 2θ = 45.26°, I = 36.1
- (0 2 0), d = 3.677 Å, 2θ = 24.20°, I = 35.0



Entry 9:
Structure and theoretical X-ray powder pattern of K6Tl2Pt (DFT lattice parameters and positions (GGA-PBE); Cu Ka).

Cell and atoms:
```
data_K6Tl2Pt
_chemical_formula_sum 'K18 Tl6 Pt3'
_space_group_name_H-M_alt 'R -3 m'
_space_group_IT_number 166
_space_group_name_Hall '-R 3 2"'
_cell_length_a 6.1757
_cell_length_b 6.1757
_cell_length_c 34.6294
_cell_angle_alpha 90.00
_cell_angle_beta 90.00
_cell_angle_gamma 120.00
loop_
_atom_site_label
_atom_site_type_symbol
_atom_site_fract_x
_atom_site_fract_y
_atom_site_fract_z
K1 K 0.0000 0.0000 0.0775
K2 K 0.0000 0.0000 0.1889
K3 K 0.0000 0.0000 0.3103
Tl1 Tl 0.0000 0.0000 0.4221
Pt1 Pt 0.0000 0.0000 0.5000
```

Most intense lines, 2θ = 10–90°, most intense first:
- (1 0 1), d = 5.286 Å, 2θ = 16.77°, I = 100.0
- (1 1 0), d = 3.088 Å, 2θ = 28.92°, I = 89.5
- (0 1 2), d = 5.110 Å, 2θ = 17.35°, I = 48.4
- (1 1 12), d = 2.108 Å, 2θ = 42.89°, I = 32.6
- (0 2 1), d = 2.666 Å, 2θ = 33.61°, I = 19.0
- (1 0 10), d = 2.907 Å, 2θ = 30.76°, I = 17.9
- (3 0 0), d = 1.783 Å, 2θ = 51.24°, I = 17.6
- (2 1 1), d = 2.018 Å, 2θ = 44.92°, I = 17.5
- (0 1 8), d = 3.365 Å, 2θ = 26.49°, I = 16.5
- (1 0 13), d = 2.384 Å, 2θ = 37.73°, I = 16.2



Entry 10:
Structure and theoretical X-ray powder pattern of Er3HfZn4 (DFT lattice parameters and positions (GGA-PBE); Cu Ka).

Cell and atoms:
```
data_Er3HfZn4
_chemical_formula_sum 'Er3 Hf1 Zn4'
_space_group_name_H-M_alt 'P 4/m m m'
_space_group_IT_number 123
_space_group_name_Hall '-P 4 2'
_cell_length_a 3.467
_cell_length_b 3.467
_cell_length_c 13.976
_cell_angle_alpha 90.00
_cell_angle_beta 90.00
_cell_angle_gamma 90.00
loop_
_atom_site_label
_atom_site_type_symbol
_atom_site_fract_x
_atom_site_fract_y
_atom_site_fract_z
Er1 Er 0.000 0.000 0.000
Er2 Er 0.000 0.000 0.259
Hf1 Hf 0.000 0.000 0.500
Zn1 Zn 0.500 0.500 0.129
Zn2 Zn 0.500 0.500 0.392
```

Most intense lines, 2θ = 10–90°, most intense first:
- (1 0 4), d = 2.461 Å, 2θ = 36.51°, I = 100.0
- (1 1 0), d = 2.452 Å, 2θ = 36.65°, I = 51.7
- (2 1 4), d = 1.417 Å, 2θ = 65.90°, I = 35.2
- (1 0 0), d = 3.467 Å, 2θ = 25.69°, I = 20.7
- (2 0 0), d = 1.734 Å, 2θ = 52.80°, I = 18.0
- (3 1 0), d = 1.097 Å, 2θ = 89.31°, I = 16.4
- (1 1 8), d = 1.423 Å, 2θ = 65.62°, I = 15.5
- (0 0 4), d = 3.494 Å, 2θ = 25.49°, I = 10.9
- (1 1 4), d = 2.007 Å, 2θ = 45.18°, I = 9.7
- (2 0 8), d = 1.231 Å, 2θ = 77.58°, I = 9.6



Entry 11:
Structure and theoretical X-ray powder pattern of Rb3Ca2TcO6 (DFT lattice parameters and positions (GGA-PBE); Cu Ka).

Cell and atoms:
```
data_Rb3Ca2TcO6
_chemical_formula_sum 'Rb6 Ca4 Tc2 O12'
_space_group_name_H-M_alt 'C 1 2/m 1'
_space_group_IT_number 12
_cell_length_a 5.933
_cell_length_b 10.255
_cell_length_c 6.703
_cell_angle_alpha 90.00
_cell_angle_beta 107.13
_cell_angle_gamma 90.00
loop_
_space_group_symop_operation_xyz
'x,y,z'
'-x,-y,-z'
'-x,y,-z'
'x,-y,z'
'x+1/2,y+1/2,z'
'-x+1/2,-y+1/2,-z'
'-x+1/2,y+1/2,-z'
'x+1/2,-y+1/2,z'
loop_
_atom_site_label
_atom_site_type_symbol
_atom_site_fract_x
_atom_site_fract_y
_atom_site_fract_z
Rb1 Rb 0.000 0.000 0.000
Rb2 Rb 0.000 0.332 0.000
Ca1 Ca 0.000 0.166 0.500
Tc1 Tc 0.000 0.500 0.500
O1 O 0.202 0.356 0.674
O2 O 0.231 0.500 0.324
```

Most intense lines, 2θ = 10–90°, most intense first:
- (2 0 -2), d = 2.522 Å, 2θ = 35.59°, I = 100.0
- (2 0 0), d = 2.832 Å, 2θ = 31.59°, I = 65.1
- (0 0 2), d = 3.203 Å, 2θ = 27.85°, I = 35.5
- (1 3 -3), d = 1.866 Å, 2θ = 48.80°, I = 32.1
- (3 3 -1), d = 1.711 Å, 2θ = 53.56°, I = 28.7
- (3 3 1), d = 1.509 Å, 2θ = 61.44°, I = 24.5
- (1 3 3), d = 1.612 Å, 2θ = 57.12°, I = 17.8
- (5 3 -1), d = 1.113 Å, 2θ = 87.67°, I = 10.2
- (2 6 0), d = 1.464 Å, 2θ = 63.53°, I = 9.9
- (2 6 -2), d = 1.415 Å, 2θ = 66.02°, I = 9.1



Entry 12:
Structure and theoretical X-ray powder pattern of MgSc3O (DFT lattice parameters and positions (GGA-PBE); Cu Ka).

Cell and atoms:
```
data_MgSc3O
_chemical_formula_sum 'Mg1 Sc3 O1'
_space_group_name_H-M_alt 'P 1 2/m 1'
_space_group_IT_number 10
_cell_length_a 3.316
_cell_length_b 4.360
_cell_length_c 6.497
_cell_angle_alpha 90.00
_cell_angle_beta 90.07
_cell_angle_gamma 90.00
loop_
_space_group_symop_operation_xyz
'x,y,z'
'-x,-y,-z'
'-x,y,-z'
'x,-y,z'
loop_
_atom_site_label
_atom_site_type_symbol
_atom_site_fract_x
_atom_site_fract_y
_atom_site_fract_z
Mg1 Mg 0.000 0.000 0.000
Sc1 Sc 0.000 0.000 0.500
Sc2 Sc 0.499 0.500 0.263
O1 O 0.000 0.500 0.500
```

Most intense lines, 2θ = 10–90°, most intense first:
- (1 0 2), d = 2.320 Å, 2θ = 38.81°, I = 100.0
- (1 1 0), d = 2.639 Å, 2θ = 33.97°, I = 99.0
- (0 1 2), d = 2.605 Å, 2θ = 34.43°, I = 93.7
- (1 2 2), d = 1.589 Å, 2θ = 58.06°, I = 54.0
- (0 0 1), d = 6.497 Å, 2θ = 13.63°, I = 48.9
- (0 2 0), d = 2.180 Å, 2θ = 41.42°, I = 41.4
- (2 1 2), d = 1.399 Å, 2θ = 66.90°, I = 23.8
- (1 1 4), d = 1.383 Å, 2θ = 67.74°, I = 21.8
- (2 0 0), d = 1.658 Å, 2θ = 55.42°, I = 16.0
- (0 0 4), d = 1.624 Å, 2θ = 56.67°, I = 14.0



Entry 13:
Structure and theoretical X-ray powder pattern of PdSCl6 (DFT lattice parameters and positions (GGA-PBE); Cu Ka).

Cell and atoms:
```
data_PdSCl6
_chemical_formula_sum 'Pd2 S2 Cl12'
_space_group_name_H-M_alt 'P 1'
_space_group_IT_number 1
_cell_length_a 6.501
_cell_length_b 9.120
_cell_length_c 9.378
_cell_angle_alpha 103.85
_cell_angle_beta 101.55
_cell_angle_gamma 106.04
loop_
_space_group_symop_operation_xyz
'x,y,z'
loop_
_atom_site_label
_atom_site_type_symbol
_atom_site_fract_x
_atom_site_fract_y
_atom_site_fract_z
Pd1 Pd 0.000 0.000 0.000
Pd2 Pd 0.214 0.699 0.692
S1 S 0.516 0.533 0.075
S2 S 0.716 0.095 0.625
Cl1 Cl 0.142 0.566 0.865
Cl2 Cl 0.220 0.252 0.987
Cl3 Cl 0.284 0.830 0.515
Cl4 Cl 0.299 0.973 0.150
Cl5 Cl 0.338 0.508 0.572
Cl6 Cl 0.420 0.637 0.251
Cl7 Cl 0.573 0.263 0.646
Cl8 Cl 0.682 0.058 0.902
Cl9 Cl 0.745 0.757 0.021
Cl10 Cl 0.768 0.472 0.182
Cl11 Cl 0.811 0.095 0.431
Cl12 Cl 0.987 0.849 0.752
```

Most intense lines, 2θ = 10–90°, most intense first:
- (0 0 1), d = 8.727 Å, 2θ = 10.14°, I = 100.0
- (-1 1 1), d = 5.034 Å, 2θ = 17.62°, I = 78.3
- (1 1 0), d = 4.226 Å, 2θ = 21.02°, I = 76.9
- (1 1 -1), d = 4.488 Å, 2θ = 19.78°, I = 75.8
- (1 -1 1), d = 4.763 Å, 2θ = 18.63°, I = 73.1
- (0 1 0), d = 8.325 Å, 2θ = 10.63°, I = 65.5
- (1 1 1), d = 3.362 Å, 2θ = 26.51°, I = 60.1
- (-1 1 2), d = 3.614 Å, 2θ = 24.63°, I = 49.4
- (0 1 -1), d = 7.265 Å, 2θ = 12.18°, I = 38.3
- (1 0 1), d = 4.387 Å, 2θ = 20.24°, I = 38.3